Structure and simulated X-ray diffraction stick pattern of Cu3P (a PBE-relaxed structure; Cu Kα, 1.54184 Å).
Peak positions follow from Bragg's law for the DFT cell and can differ from measured ones.

Peak list (10 most intense, 10° ≤ 2θ ≤ 80°, by angle)
2θ (°)  d/Å  Rel. int.  hkl
17.5  5.067  10  0 0 1
25.4  3.502  5  0 1 0
31.0  2.881  6  0 1 1
41.4  2.179  100  1 1 0
44.1  2.053  83  0 1 2
48.6  1.873  61  1 0 2
52.2  1.751  24  0 2 0
67.3  1.391  11  2 0 0
74.1  1.279  32  1 2 2
75.0  1.267  8  0 0 4

Atomic structure:
```
4
Lattice="2.783 0.000 0.000 0.000 3.502 0.000 0.000 0.000 5.067" Properties=species:S:1:pos:R:3 pbc="T T T"
Cu 0.000 0.000 0.000
Cu 1.391 1.751 1.274
Cu 1.391 1.751 3.793
P 0.000 0.000 2.534
```